This entry pairs a crystal structure of Na3MgTaSi2SO12 with its theoretical powder diffractogram. Radiation: Cu Kα (weighted mean of Kα1 and Kα2). Structure: a GGA-PBE-relaxed structure.
Neutral-atom scattering factors, no anomalous dispersion.

Cell and atoms:
a = 9.018 Å, b = 9.018 Å, c = 9.164 Å
α = 120.08°, β = 120.08°, γ = 60.39°
Positions (direct):
Na1 0.044 0.956 0.500
Na2 0.304 0.840 0.243
Na3 0.566 0.743 0.028
Na4 0.743 0.566 0.528
Na5 0.840 0.304 0.743
Na6 0.956 0.044 0.000
Mg1 0.159 0.683 0.822
Mg2 0.683 0.159 0.322
Ta1 0.466 0.972 0.703
Ta2 0.972 0.466 0.203
Si1 0.077 0.284 0.519
Si2 0.284 0.077 0.019
Si3 0.780 0.875 0.523
Si4 0.875 0.780 0.023
S1 0.367 0.576 0.519
S2 0.576 0.367 0.019
O1 0.042 0.314 0.332
O2 0.055 0.749 0.002
O3 0.092 0.253 0.032
O4 0.114 0.457 0.682
O5 0.198 0.548 0.359
O6 0.253 0.092 0.532
O7 0.261 0.898 0.996
O8 0.314 0.042 0.832
O9 0.349 0.609 0.683
O10 0.370 0.747 0.523
O11 0.430 0.532 0.991
O12 0.457 0.114 0.182
O13 0.532 0.430 0.491
O14 0.548 0.198 0.859
O15 0.599 0.877 0.535
O16 0.609 0.349 0.183
O17 0.680 0.822 0.843
O18 0.747 0.370 0.023
O19 0.749 0.055 0.502
O20 0.822 0.680 0.343
O21 0.847 0.953 0.195
O22 0.877 0.599 0.035
O23 0.898 0.261 0.496
O24 0.953 0.847 0.695

Top 10 peaks for 10° ≤ 2θ ≤ 90°, by angle:
d [Å]  intensity
6.447  100
6.350  35
4.582  42
4.538  70
4.508  48
3.693  35
2.895  35
2.882  35
2.856  34
2.613  33